For SmMgSe3, a structure optimized by DFT (GGA-PBE) gives the simulated powder diffraction line list in this record (Cu Kα X-rays).
Peak positions follow from Bragg's law for the DFT cell and can differ from measured ones.

Most intense lines, 5° ≤ 2θ ≤ 70°, low angle first:
| d_spacing | I_rel | hkl |
| --- | --- | --- |
| 5.968 | 80 | 0 2 0 |
| 5.391 | 53 | 1 1 -1 |
| 3.514 | 59 | 1 3 0 |
| 3.323 | 40 | 1 3 -1 |
| 3.173 | 58 | 2 2 0 |
| 2.783 | 77 | 3 1 -1 |
| 2.733 | 42 | 0 0 2 |
| 2.447 | 100 | 1 3 -2 |
| 2.334 | 37 | 2 4 0 |
| 1.989 | 42 | 0 6 0 |

Atomic structure:
```
data_SmMgSe3
_chemical_formula_sum 'Sm4 Mg4 Se12'
_symmetry_space_group_name_H-M 'C 1 2/m 1'
_symmetry_Int_Tables_number 12
_cell_length_a 8.5905
_cell_length_b 11.9369
_cell_length_c 6.2681
_cell_angle_alpha 90.00
_cell_angle_beta 119.29
_cell_angle_gamma 90.00
loop_
_symmetry_equiv_pos_as_xyz
'x,y,z'
'-x,-y,-z'
'-x,y,-z'
'x,-y,z'
'x+1/2,y+1/2,z'
'-x+1/2,-y+1/2,-z'
'-x+1/2,y+1/2,-z'
'x+1/2,-y+1/2,z'
loop_
_atom_site_label
_atom_site_type_symbol
_atom_site_fract_x
_atom_site_fract_y
_atom_site_fract_z
Sm1 Sm 0.2271 0.0000 0.1775
Mg1 Mg 0.0000 0.3275 0.0000
Se1 Se 0.0197 0.1566 0.7588
Se2 Se 0.1023 0.5000 0.3023
```